Record 1
KNa2PuF6: theoretical powder diffractogram (a wavelength of 1.5418 Å), based on a PBE-relaxed structure.
Peak positions follow from Bragg's law for the DFT cell and can differ from measured ones.

Largest 6 diffraction maxima, sorted by position, 10° ≤ 2θ ≤ 80°:
| 2theta | intensity |
| --- | --- |
| 16.6 | 40 |
| 17.6 | 100 |
| 20.1 | 100 |
| 27.9 | 46 |
| 29.2 | 54 |
| 33.8 | 28 |

Structure:
Unit cell a=6.104 b=6.113 c=6.374 alpha=61.59 beta=61.83 gamma=60.16
Positions (direct):
K  0.000  0.000  0.000
Na  0.275  0.275  0.171
Na  0.786  0.787  0.646
Pu  0.488  0.487  0.539
F  0.096  0.438  0.829
F  0.183  0.886  0.375
F  0.439  0.640  0.829
F  0.561  0.198  0.361
F  0.626  0.090  0.843
F  0.882  0.559  0.364

---

Record 2
Be3Si: theoretical powder diffractogram (a wavelength of 1.5418 Å), based on a PBE-relaxed structure.
Peak positions follow from Bragg's law for the DFT cell and can differ from measured ones.

Largest 6 diffraction maxima, sorted by position, 10° ≤ 2θ ≤ 80°:
| 2theta | intensity |
| --- | --- |
| 26.8 | 56 |
| 28.4 | 51 |
| 33.0 | 59 |
| 34.7 | 100 |
| 51.9 | 56 |
| 53.7 | 41 |

Structure:
Unit cell a=3.811 b=3.811 c=7.589 alpha=107.28 beta=107.28 gamma=56.81
Positions (direct):
Be  0.000  0.000  0.000
Be  0.028  0.028  0.715
Be  0.121  0.121  0.280
Be  0.413  0.413  0.826
Be  0.725  0.725  0.778
Be  0.755  0.755  0.438
Si  0.460  0.460  0.509
Si  0.718  0.718  0.115

---

Record 3
SrHgS2: theoretical powder diffractogram (a wavelength of 1.5418 Å), based on a PBE-relaxed structure.
Peak positions follow from Bragg's law for the DFT cell and can differ from measured ones.

Largest 6 diffraction maxima, sorted by position, 10° ≤ 2θ ≤ 80°:
| 2theta | intensity |
| --- | --- |
| 21.9 | 67 |
| 23.9 | 43 |
| 25.0 | 49 |
| 31.1 | 76 |
| 32.6 | 100 |
| 39.6 | 47 |

Structure:
Unit cell a=9.411 b=9.411 c=5.745 alpha=90.00 beta=90.00 gamma=75.24
Positions (direct):
Sr  0.125  0.375  0.250
Sr  0.375  0.125  0.750
Sr  0.625  0.875  0.250
Sr  0.875  0.625  0.750
Hg  0.130  0.870  0.767
Hg  0.370  0.630  0.267
Hg  0.630  0.370  0.733
Hg  0.870  0.130  0.233
S  0.053  0.303  0.750
S  0.197  0.447  0.750
S  0.303  0.053  0.250
S  0.447  0.197  0.250
S  0.553  0.803  0.750
S  0.697  0.947  0.750
S  0.803  0.553  0.250
S  0.947  0.697  0.250

---

Record 4
Pa2Si2Os: theoretical powder diffractogram (a wavelength of 1.5418 Å), based on a PBE-relaxed structure.
Peak positions follow from Bragg's law for the DFT cell and can differ from measured ones.

Largest 6 diffraction maxima, sorted by position, 10° ≤ 2θ ≤ 80°:
| 2theta | intensity |
| --- | --- |
| 31.0 | 30 |
| 34.3 | 18 |
| 35.1 | 100 |
| 40.9 | 15 |
| 41.0 | 16 |
| 57.9 | 26 |

Structure:
Unit cell a=5.584 b=5.584 c=5.584 alpha=140.91 beta=117.87 gamma=75.90
Positions (direct):
Pa  0.227  0.227  0.000
Pa  0.773  0.773  0.000
Si  0.209  0.500  0.709
Si  0.791  0.500  0.291
Os  0.500  0.000  0.500